Theoretical powder X-ray diffraction pattern of Ba4NaSr7 for Cu Kα, 1.54184 Å, from a DFT-relaxed cell (GGA-PBE, Alexandria).

Main lines, by angle (2θ = 15–90°):
| two_theta | Rel. int. | index |
| --- | --- | --- |
| 25.25 | 100 | 1 0 4 |
| 25.40 | 28 | 0 0 12 |
| 29.28 | 65 | 0 1 8 |
| 41.78 | 26 | 1 1 0 |
| 41.98 | 19 | 1 0 16 |
| 49.50 | 42 | 0 2 4 |
| 49.71 | 10 | 0 1 20 |
| 51.83 | 14 | 2 0 8 |
| 66.68 | 13 | 2 1 4 |
| 68.68 | 12 | 1 2 8 |

Structural model:
Cell lengths 4.324, 4.324, 42.077 Å; angles 90.00, 90.00, 120.00 degrees
Fractional positions:
Ba 0.333 0.667 0.160
Ba 0.333 0.667 0.414
Ba 0.667 0.333 0.586
Ba 0.667 0.333 0.840
Na 0.000 0.000 0.000
Sr 0.000 0.000 0.246
Sr 0.000 0.000 0.500
Sr 0.000 0.000 0.754
Sr 0.333 0.667 0.672
Sr 0.333 0.667 0.925
Sr 0.667 0.333 0.075
Sr 0.667 0.333 0.328